The following is a theoretical X-ray diffraction stick pattern of AcAg3Se4. It was derived from a crystal structure in Alexandria, relaxed with PBE, using a wavelength of 1.5418 Å.

Crystal structure
a b c (Å): 7.268 7.268 7.780
angles (deg): 90.00 90.00 90.00
Space group I-42m (No. 121)
Asymmetric unit:
Ac 0.000 0.000 0.000 (multiplicity 2)
Ag 0.000 0.000 0.500 (multiplicity 2)
Ag 0.000 0.500 0.250 (multiplicity 4)
Se 0.211 0.211 0.298 (multiplicity 8)

Principal peaks in the range 10 to 80 degrees two-theta, by angle:
| 2theta | d (Å) | I/Imax | (hkl) |
| --- | --- | --- | --- |
| 24.5 | 3.634 | 17 | 2 0 0 |
| 28.8 | 3.102 | 100 | 1 1 2 |
| 29.8 | 2.999 | 20 | 2 1 1 |
| 33.8 | 2.655 | 23 | 2 0 2 |
| 34.9 | 2.569 | 60 | 2 2 0 |
| 45.9 | 1.979 | 65 | 3 1 2 |
| 50.2 | 1.817 | 24 | 4 0 0 |
| 53.4 | 1.715 | 13 | 2 0 4 |
| 59.6 | 1.551 | 16 | 2 2 4 |
| 70.3 | 1.338 | 12 | 5 1 2 |

=====

The following is a theoretical X-ray diffraction stick pattern of BaY3. It was derived from a crystal structure in Alexandria, relaxed with PBE, using a wavelength of 1.5418 Å.

Crystal structure
a b c (Å): 11.9598 11.9598 3.5816
angles (deg): 90.00 90.00 120.00
Space group R-3m (No. 166, hexagonal axes)
Asymmetric unit:
Ba 0.0000 0.0000 0.0000 (multiplicity 3)
Y 0.0000 0.5000 0.0000 (multiplicity 9)

Principal peaks in the range 10 to 80 degrees two-theta, by angle:
| 2theta | d (Å) | I/Imax | (hkl) |
| --- | --- | --- | --- |
| 29.9 | 2.990 | 100 | 2 2 0 |
| 30.3 | 2.946 | 96 | 0 2 1 |
| 43.1 | 2.098 | 36 | 4 0 1 |
| 53.1 | 1.726 | 19 | 6 0 0 |
| 53.3 | 1.718 | 38 | 2 4 1 |
| 54.2 | 1.692 | 18 | 2 0 2 |
| 62.1 | 1.495 | 12 | 4 4 0 |
| 63.1 | 1.473 | 11 | 0 4 2 |
| 70.7 | 1.333 | 16 | 6 2 1 |
| 71.4 | 1.321 | 16 | 4 2 2 |

=====

The following is a theoretical X-ray diffraction stick pattern of Ac5TlSn2. It was derived from a crystal structure in Alexandria, relaxed with PBE, using a wavelength of 1.5418 Å.

Crystal structure
a b c (Å): 5.565 12.146 18.327
angles (deg): 90.00 90.00 90.00
Space group Cmcm (No. 63)
Asymmetric unit:
Ac 0.000 0.095 0.083 (multiplicity 8)
Ac 0.000 0.307 0.750 (multiplicity 4)
Ac 0.000 0.399 0.112 (multiplicity 8)
Tl 0.000 0.018 0.750 (multiplicity 4)
Sn 0.000 0.255 0.570 (multiplicity 8)

Principal peaks in the range 10 to 80 degrees two-theta, by angle:
| 2theta | d (Å) | I/Imax | (hkl) |
| --- | --- | --- | --- |
| 22.8 | 3.897 | 46 | 1 1 3 |
| 27.7 | 3.223 | 51 | 1 3 1 |
| 29.0 | 3.083 | 18 | 1 3 2 |
| 29.2 | 3.054 | 47 | 0 0 6 |
| 30.1 | 2.968 | 17 | 1 1 5 |
| 31.0 | 2.886 | 100 | 1 3 3 |
| 32.2 | 2.783 | 54 | 2 0 0 |
| 35.5 | 2.531 | 16 | 0 4 4 |
| 44.0 | 2.057 | 32 | 2 0 6 |
| 56.6 | 1.626 | 18 | 3 3 3 |